The following is a simulated powder diffraction line list of Cd2B2MoO6. It was derived from a crystal structure in Alexandria, relaxed with GGA+U, using Cu Kα (λ = 1.5418 Å).
Neutral-atom scattering factors, no anomalous dispersion.

Main lines, low angle first (2θ = 10–90°):
h k l, Position (°2θ), intensity
0 1 1, 24.4, 100
1 0 2, 32.2, 76
1 1 0, 37.1, 36
2 0 1, 44.9, 25
0 2 2, 49.9, 15
1 1 3, 52.9, 25
3 -2 1, 59.6, 20
3 -1 2, 63.8, 16

Crystal structure
```
data_Cd2B2MoO6
_space_group_name_H-M_alt 'P -3'
_space_group_IT_number 147
_cell_length_a 4.8462
_cell_length_b 4.8462
_cell_length_c 7.4293
_cell_angle_alpha 90.00
_cell_angle_beta 90.00
_cell_angle_gamma 120.00
loop_
_space_group_symop_operation_xyz
'x,y,z'
'-x,-y,-z'
'-y,x-y,z'
'y,-x+y,-z'
'-x+y,-x,z'
'x-y,x,-z'
loop_
_atom_site_label
_atom_site_type_symbol
_atom_site_fract_x
_atom_site_fract_y
_atom_site_fract_z
Cd1 Cd 0.3333 0.6667 0.3680
B1 B 0.3333 0.6667 0.8337
Mo1 Mo 0.0000 0.0000 0.0000
O1 O 0.0628 0.6946 0.8319
```